# 1
# Pm2Dy3Ho9
Theoretical powder XRD pattern, a wavelength of 1.5418 Å. Input: a structure optimized by DFT (PBE).
Lines closer than 0.1° are merged.

Crystal structure
```
data_Pm2Dy3Ho9
_chemical_formula_sum 'Pm2 Dy3 Ho9'
_symmetry_space_group_name_H-M 'P 1'
_symmetry_Int_Tables_number 1
_symmetry_space_group_name_Hall 'P 1'
_cell_length_a 6.401
_cell_length_b 8.373
_cell_length_c 8.870
_cell_angle_alpha 87.25
_cell_angle_beta 82.92
_cell_angle_gamma 70.94
loop_
_atom_site_label
_atom_site_type_symbol
_atom_site_fract_x
_atom_site_fract_y
_atom_site_fract_z
Pm1 Pm 0.000 0.000 0.000
Pm2 Pm 0.145 0.646 0.197
Dy1 Dy 0.352 0.094 0.748
Dy2 Dy 0.522 0.297 0.035
Dy3 Dy 0.682 0.604 0.409
Ho1 Ho 0.074 0.253 0.256
Ho2 Ho 0.201 0.901 0.456
Ho3 Ho 0.230 0.445 0.536
Ho4 Ho 0.396 0.656 0.789
Ho5 Ho 0.546 0.856 0.079
Ho6 Ho 0.646 0.058 0.374
Ho7 Ho 0.805 0.249 0.657
Ho8 Ho 0.838 0.815 0.702
Ho9 Ho 0.959 0.463 0.919
```

Main lines, sorted by position (10 to 90 degrees two-theta):
30.25°, rel. 56
31.50°, rel. 59
31.70°, rel. 100
32.00°, rel. 90
32.39°, rel. 57
32.56°, rel. 90

=====

# 2
# Nd3SbO2
Theoretical powder XRD pattern, a wavelength of 1.5418 Å. Input: a structure optimized by DFT (PBE).
Lines closer than 0.1° are merged.

Crystal structure
```
data_Nd3SbO2
_chemical_formula_sum 'Nd6 Sb2 O4'
_symmetry_space_group_name_H-M 'P 1 21/m 1'
_symmetry_Int_Tables_number 11
_symmetry_space_group_name_Hall '-P 2yb'
_cell_length_a 4.852
_cell_length_b 4.440
_cell_length_c 13.309
_cell_angle_alpha 90.00
_cell_angle_beta 94.84
_cell_angle_gamma 90.00
loop_
_atom_site_label
_atom_site_type_symbol
_atom_site_fract_x
_atom_site_fract_y
_atom_site_fract_z
Nd1 Nd 0.194 0.250 0.434
Nd2 Nd 0.198 0.250 0.757
Nd3 Nd 0.251 0.750 0.009
Sb1 Sb 0.295 0.250 0.200
O1 O 0.024 0.750 0.417
O2 O 0.237 0.250 0.941
```

Main lines, sorted by position (10 to 90 degrees two-theta):
27.27°, rel. 63
28.48°, rel. 100
31.18°, rel. 67
33.13°, rel. 83
33.77°, rel. 76
37.20°, rel. 56

=====

# 3
# Pu2Bi3
Theoretical powder XRD pattern, a wavelength of 1.5418 Å. Input: a structure optimized by DFT (PBE).
Lines closer than 0.1° are merged.

Crystal structure
```
data_Pu2Bi3
_chemical_formula_sum 'Pu4 Bi6'
_symmetry_space_group_name_H-M 'I m m m'
_symmetry_Int_Tables_number 71
_symmetry_space_group_name_Hall '-I 2 2'
_cell_length_a 4.494
_cell_length_b 8.268
_cell_length_c 8.348
_cell_angle_alpha 90.00
_cell_angle_beta 90.00
_cell_angle_gamma 90.00
loop_
_atom_site_label
_atom_site_type_symbol
_atom_site_fract_x
_atom_site_fract_y
_atom_site_fract_z
Pu1 Pu 0.000 0.000 0.216
Bi1 Bi 0.000 0.294 0.500
Bi2 Bi 0.000 0.500 0.000
```

Main lines, sorted by position (10 to 90 degrees two-theta):
30.43°, rel. 31
31.18°, rel. 100
31.29°, rel. 78
40.13°, rel. 27
63.56°, rel. 23
64.01°, rel. 26

=====

# 4
# RbNaHg2Br6
Theoretical powder XRD pattern, a wavelength of 1.5418 Å. Input: a structure optimized by DFT (PBE).
Lines closer than 0.1° are merged.

Crystal structure
```
data_RbNaHg2Br6
_chemical_formula_sum 'Rb1 Na1 Hg2 Br6'
_symmetry_space_group_name_H-M 'P 1'
_symmetry_Int_Tables_number 1
_symmetry_space_group_name_Hall 'P 1'
_cell_length_a 7.662
_cell_length_b 7.663
_cell_length_c 9.156
_cell_angle_alpha 65.27
_cell_angle_beta 65.28
_cell_angle_gamma 60.01
loop_
_atom_site_label
_atom_site_type_symbol
_atom_site_fract_x
_atom_site_fract_y
_atom_site_fract_z
Rb1 Rb 0.000 0.000 0.000
Na1 Na 0.500 0.500 0.500
Hg1 Hg 0.237 0.237 0.291
Hg2 Hg 0.763 0.763 0.711
Br1 Br 0.107 0.732 0.726
Br2 Br 0.264 0.567 0.277
Br3 Br 0.434 0.107 0.726
Br4 Br 0.567 0.893 0.278
Br5 Br 0.735 0.434 0.725
Br6 Br 0.893 0.262 0.278
```

Main lines, sorted by position (10 to 90 degrees two-theta):
15.25°, rel. 53
19.93°, rel. 100
22.18°, rel. 55
25.77°, rel. 80
40.79°, rel. 65
46.91°, rel. 42

=====

# 5
# PaAsRhO
Theoretical powder XRD pattern, a wavelength of 1.5418 Å. Input: a structure optimized by DFT (PBE).
Lines closer than 0.1° are merged.

Crystal structure
```
data_PaAsRhO
_chemical_formula_sum 'Pa2 As2 Rh2 O2'
_symmetry_space_group_name_H-M 'P 4/n m m'
_symmetry_Int_Tables_number 129
_cell_length_a 3.947
_cell_length_b 3.947
_cell_length_c 8.160
_cell_angle_alpha 90.00
_cell_angle_beta 90.00
_cell_angle_gamma 90.00
loop_
_symmetry_equiv_pos_as_xyz
'x,y,z'
'-x,-y,-z'
'-y+1/2,x,z'
'y+1/2,-x,-z'
'-x+1/2,-y+1/2,z'
'x+1/2,y+1/2,-z'
'y,-x+1/2,z'
'-y,x+1/2,-z'
'x+1/2,-y,-z'
'-x+1/2,y,z'
'-y,-x,-z'
'y,x,z'
'-x,y+1/2,-z'
'x,-y+1/2,z'
'y+1/2,x+1/2,-z'
'-y+1/2,-x+1/2,z'
loop_
_atom_site_label
_atom_site_type_symbol
_atom_site_fract_x
_atom_site_fract_y
_atom_site_fract_z
Pa1 Pa 0.250 0.250 0.164
As1 As 0.250 0.250 0.687
Rh1 Rh 0.250 0.750 0.500
O1 O 0.250 0.750 0.000
```

Main lines, sorted by position (10 to 90 degrees two-theta):
25.06°, rel. 40
31.54°, rel. 100
33.95°, rel. 39
39.11°, rel. 69
45.99°, rel. 49
56.83°, rel. 39

=====

# 6
# Nd4DyEr5
Theoretical powder XRD pattern, a wavelength of 1.5418 Å. Input: a structure optimized by DFT (PBE).
Lines closer than 0.1° are merged.

Crystal structure
```
data_Nd4DyEr5
_chemical_formula_sum 'Nd8 Dy2 Er10'
_symmetry_space_group_name_H-M 'I 4 m m'
_symmetry_Int_Tables_number 107
_symmetry_space_group_name_Hall 'I 4 -2'
_cell_length_a 10.680
_cell_length_b 10.680
_cell_length_c 5.926
_cell_angle_alpha 90.00
_cell_angle_beta 90.00
_cell_angle_gamma 90.00
loop_
_atom_site_label
_atom_site_type_symbol
_atom_site_fract_x
_atom_site_fract_y
_atom_site_fract_z
Nd1 Nd 0.000 0.323 0.000
Dy1 Dy 0.000 0.000 0.242
Er1 Er 0.000 0.000 0.765
Er2 Er 0.189 0.189 0.504
```

Main lines, sorted by position (10 to 90 degrees two-theta):
29.26°, rel. 100
30.16°, rel. 13
34.62°, rel. 21
35.66°, rel. 43
53.02°, rel. 16
60.18°, rel. 18

=====

# 7
# Sr2Ge4PdRh3
Theoretical powder XRD pattern, a wavelength of 1.5418 Å. Input: a structure optimized by DFT (PBE).
Lines closer than 0.1° are merged.

Crystal structure
```
data_Sr2Ge4PdRh3
_chemical_formula_sum 'Sr2 Ge4 Pd1 Rh3'
_symmetry_space_group_name_H-M 'P -4 m 2'
_symmetry_Int_Tables_number 115
_symmetry_space_group_name_Hall 'P -4 -2'
_cell_length_a 4.391
_cell_length_b 4.391
_cell_length_c 10.091
_cell_angle_alpha 90.00
_cell_angle_beta 90.00
_cell_angle_gamma 90.00
loop_
_atom_site_label
_atom_site_type_symbol
_atom_site_fract_x
_atom_site_fract_y
_atom_site_fract_z
Sr1 Sr 0.000 0.500 0.248
Ge1 Ge 0.000 0.000 0.000
Ge2 Ge 0.000 0.500 0.627
Ge3 Ge 0.500 0.500 0.000
Pd1 Pd 0.000 0.000 0.500
Rh1 Rh 0.000 0.500 0.877
Rh2 Rh 0.500 0.500 0.500
```

Main lines, sorted by position (10 to 90 degrees two-theta):
33.56°, rel. 66
33.90°, rel. 100
41.12°, rel. 81
46.38°, rel. 43
54.08°, rel. 33
59.55°, rel. 27

=====

# 8
# HfAsPt
Theoretical powder XRD pattern, a wavelength of 1.5418 Å. Input: a structure optimized by DFT (PBE).
Lines closer than 0.1° are merged.

Crystal structure
```
data_HfAsPt
_chemical_formula_sum 'Hf2 As2 Pt2'
_symmetry_space_group_name_H-M 'P 4/n m m'
_symmetry_Int_Tables_number 129
_cell_length_a 3.792
_cell_length_b 3.792
_cell_length_c 7.893
_cell_angle_alpha 90.00
_cell_angle_beta 90.00
_cell_angle_gamma 90.00
loop_
_symmetry_equiv_pos_as_xyz
'x,y,z'
'-x,-y,-z'
'-y+1/2,x,z'
'y+1/2,-x,-z'
'-x+1/2,-y+1/2,z'
'x+1/2,y+1/2,-z'
'y,-x+1/2,z'
'-y,x+1/2,-z'
'x+1/2,-y,-z'
'-x+1/2,y,z'
'-y,-x,-z'
'y,x,z'
'-x,y+1/2,-z'
'x,-y+1/2,z'
'y+1/2,x+1/2,-z'
'-y+1/2,-x+1/2,z'
loop_
_atom_site_label
_atom_site_type_symbol
_atom_site_fract_x
_atom_site_fract_y
_atom_site_fract_z
Hf1 Hf 0.250 0.250 0.234
As1 As 0.250 0.250 0.867
Pt1 Pt 0.250 0.750 0.500
```

Main lines, sorted by position (10 to 90 degrees two-theta):
11.21°, rel. 57
26.07°, rel. 32
35.36°, rel. 72
40.68°, rel. 100
41.79°, rel. 31
47.99°, rel. 45

=====

# 9
# Zn2BiF8
Theoretical powder XRD pattern, a wavelength of 1.5418 Å. Input: a structure optimized by DFT (PBE).
Lines closer than 0.1° are merged.

Crystal structure
```
data_Zn2BiF8
_chemical_formula_sum 'Zn2 Bi1 F8'
_symmetry_space_group_name_H-M 'P -3'
_symmetry_Int_Tables_number 147
_symmetry_space_group_name_Hall '-P 3'
_cell_length_a 6.7659
_cell_length_b 6.7659
_cell_length_c 4.0328
_cell_angle_alpha 90.00
_cell_angle_beta 90.00
_cell_angle_gamma 120.00
loop_
_atom_site_label
_atom_site_type_symbol
_atom_site_fract_x
_atom_site_fract_y
_atom_site_fract_z
Zn1 Zn 0.3333 0.6667 0.2408
Bi1 Bi 0.0000 0.0000 0.5000
F1 F 0.1630 0.3276 0.2360
F2 F 0.3333 0.6667 0.7433
```

Main lines, sorted by position (10 to 90 degrees two-theta):
15.12°, rel. 53
26.34°, rel. 100
26.84°, rel. 90
34.61°, rel. 34
37.96°, rel. 29
46.80°, rel. 42

=====

# 10
# Hf6BP2
Theoretical powder XRD pattern, a wavelength of 1.5418 Å. Input: a structure optimized by DFT (PBE).
Lines closer than 0.1° are merged.

Crystal structure
```
data_Hf6BP2
_chemical_formula_sum 'Hf12 B2 P4'
_symmetry_space_group_name_H-M 'P 1 21/c 1'
_symmetry_Int_Tables_number 14
_symmetry_space_group_name_Hall '-P 2ybc'
_cell_length_a 5.830
_cell_length_b 6.628
_cell_length_c 10.131
_cell_angle_alpha 90.00
_cell_angle_beta 123.22
_cell_angle_gamma 90.00
loop_
_atom_site_label
_atom_site_type_symbol
_atom_site_fract_x
_atom_site_fract_y
_atom_site_fract_z
Hf1 Hf 0.097 0.031 0.252
Hf2 Hf 0.206 0.684 0.055
Hf3 Hf 0.394 0.178 0.052
B1 B 0.000 0.000 0.000
P1 P 0.320 0.124 0.756
```

Main lines, sorted by position (10 to 90 degrees two-theta):
28.95°, rel. 49
33.60°, rel. 92
34.35°, rel. 100
34.83°, rel. 58
35.78°, rel. 60
37.46°, rel. 66

=====

Please write out number 4 again, unchanged.
# RbNaHg2Br6
Theoretical powder XRD pattern, a wavelength of 1.5418 Å. Input: a structure optimized by DFT (PBE).
Lines closer than 0.1° are merged.

Crystal structure
```
data_RbNaHg2Br6
_chemical_formula_sum 'Rb1 Na1 Hg2 Br6'
_symmetry_space_group_name_H-M 'P 1'
_symmetry_Int_Tables_number 1
_symmetry_space_group_name_Hall 'P 1'
_cell_length_a 7.662
_cell_length_b 7.663
_cell_length_c 9.156
_cell_angle_alpha 65.27
_cell_angle_beta 65.28
_cell_angle_gamma 60.01
loop_
_atom_site_label
_atom_site_type_symbol
_atom_site_fract_x
_atom_site_fract_y
_atom_site_fract_z
Rb1 Rb 0.000 0.000 0.000
Na1 Na 0.500 0.500 0.500
Hg1 Hg 0.237 0.237 0.291
Hg2 Hg 0.763 0.763 0.711
Br1 Br 0.107 0.732 0.726
Br2 Br 0.264 0.567 0.277
Br3 Br 0.434 0.107 0.726
Br4 Br 0.567 0.893 0.278
Br5 Br 0.735 0.434 0.725
Br6 Br 0.893 0.262 0.278
```

Main lines, sorted by position (10 to 90 degrees two-theta):
15.25°, rel. 53
19.93°, rel. 100
22.18°, rel. 55
25.77°, rel. 80
40.79°, rel. 65
46.91°, rel. 42